This entry pairs a crystal structure of Sr2NdZn6 with its simulated X-ray powder pattern. Radiation: Cu Ka. Structure: a crystal structure in Alexandria, relaxed with PBE.
No peak broadening, texture or thermal motion is included.

Largest 6 diffraction maxima, by angle, 2θ from 15° to 90°:
d = 2.807 Å, intensity 100; d = 2.293 Å, intensity 55; d = 1.984 Å, intensity 14; d = 1.776 Å, intensity 26; d = 1.500 Å, intensity 29; d = 1.404 Å, intensity 23

Crystal structure
```
Sr2NdZn6
1.0
7.9444 0.0000 0.0000
-3.9722 6.8800 0.0000
0.0000 0.0000 3.9671
Sr Nd Zn
2 1 6
direct
0.3333 0.6667 0.0000
0.6667 0.3333 0.0000
0.0000 0.0000 0.0000
0.0000 0.3296 0.5000
0.0000 0.6704 0.5000
0.3296 0.0000 0.5000
0.3296 0.3296 0.5000
0.6704 0.0000 0.5000
0.6704 0.6704 0.5000
```


This entry pairs a crystal structure of NdTaTi2 with its simulated X-ray powder pattern. Radiation: Cu Ka. Structure: a crystal structure in Alexandria, relaxed with PBE.
No peak broadening, texture or thermal motion is included.

Largest 6 diffraction maxima, by angle, 2θ from 15° to 90°:
d = 3.542 Å, intensity 25; d = 3.469 Å, intensity 40; d = 2.478 Å, intensity 100; d = 2.453 Å, intensity 54; d = 2.017 Å, intensity 22; d = 1.421 Å, intensity 34

Crystal structure
```
NdTaTi2
1.0
3.4688 0.0000 0.0000
0.0000 3.4688 0.0000
0.0000 0.0000 7.0846
Nd Ta Ti
1 1 2
direct
0.0000 0.0000 0.0000
0.0000 0.0000 0.5000
0.5000 0.5000 0.3050
0.5000 0.5000 0.6950
```


This entry pairs a crystal structure of Tb13Nd3 with its simulated X-ray powder pattern. Radiation: Cu Ka. Structure: a crystal structure in Alexandria, relaxed with PBE.
No peak broadening, texture or thermal motion is included.

Largest 6 diffraction maxima, by angle, 2θ from 15° to 90°:
d = 2.925 Å, intensity 100; d = 2.533 Å, intensity 51; d = 1.791 Å, intensity 36; d = 1.529 Å, intensity 29; d = 1.526 Å, intensity 14; d = 1.463 Å, intensity 12

Crystal structure
```
Tb13Nd3
1.0
10.1191 0.0000 0.0000
0.0000 5.0693 5.0721
0.0000 -5.0693 5.0721
Tb Nd
13 3
direct
0.0000 0.0002 0.0002
0.0000 0.9999 0.4975
0.0000 0.4972 0.4972
0.0000 0.4975 0.9999
0.2488 0.2479 0.2479
0.2490 0.2480 0.7491
0.2490 0.7491 0.2480
0.5000 0.0000 0.0000
0.5000 0.0000 0.4972
0.5000 0.4972 0.0000
0.7512 0.2479 0.2479
0.7510 0.2480 0.7491
0.7510 0.7491 0.2480
0.2493 0.7493 0.7493
0.5000 0.4972 0.4972
0.7507 0.7493 0.7493
```


This entry pairs a crystal structure of Tb7Nd5 with its simulated X-ray powder pattern. Radiation: Cu Ka. Structure: a crystal structure in Alexandria, relaxed with PBE.
No peak broadening, texture or thermal motion is included.

Largest 6 diffraction maxima, by angle, 2θ from 15° to 90°:
d = 3.032 Å, intensity 43; d = 2.925 Å, intensity 35; d = 2.766 Å, intensity 100; d = 2.445 Å, intensity 24; d = 1.812 Å, intensity 26; d = 1.541 Å, intensity 30

Crystal structure
```
Tb7Nd5
1.0
9.4090 -1.8139 0.0000
9.4090 1.8139 0.0000
-6.2720 0.0000 11.7000
Tb Nd
7 5
direct
0.0000 0.0000 0.0000
0.1378 0.1378 0.7486
0.1662 0.1662 0.4976
0.4725 0.4725 0.7497
0.5275 0.5275 0.2503
0.8338 0.8338 0.5024
0.8622 0.8622 0.2514
0.1948 0.1948 0.2511
0.3346 0.3346 0.0020
0.5000 0.5000 0.5000
0.6654 0.6654 0.9980
0.8052 0.8052 0.7489
```